(1)
For VCuN2, a cell relaxed with PBE gives the theoretical powder diffraction line list in this record (a wavelength of 1.5418 Å).

Atomic structure:
```
data_VCuN2
_cell_length_a 5.334
_cell_length_b 6.269
_cell_length_c 5.310
_cell_angle_alpha 90.00
_cell_angle_beta 90.00
_cell_angle_gamma 90.00
_symmetry_space_group_name_H-M 'P 1'
_symmetry_Int_Tables_number 1
loop_
_symmetry_equiv_pos_as_xyz
'x,y,z'
loop_
_atom_site_label
_atom_site_fract_x
_atom_site_fract_y
_atom_site_fract_z
V1 0.082 0.118 0.000
V2 0.418 0.618 0.500
V3 0.582 0.382 0.000
V4 0.918 0.882 0.500
Cu1 0.097 0.636 0.032
Cu2 0.403 0.136 0.532
Cu3 0.597 0.864 0.032
Cu4 0.903 0.364 0.532
N1 0.067 0.113 0.350
N2 0.084 0.636 0.410
N3 0.416 0.136 0.910
N4 0.433 0.613 0.850
N5 0.567 0.387 0.350
N6 0.584 0.864 0.410
N7 0.916 0.364 0.910
N8 0.933 0.887 0.850
```

The 12 most intense peaks (2θ = 10–90°), low angle first:
2θ = 33.15°, d = 2.703 Å, I = 54.5
2θ = 33.60°, d = 2.667 Å, I = 19.5
2θ = 33.76°, d = 2.655 Å, I = 59.2
2θ = 37.34°, d = 2.408 Å, I = 100.0
2θ = 37.75°, d = 2.383 Å, I = 58.5
2θ = 48.04°, d = 1.894 Å, I = 23.9
2θ = 59.80°, d = 1.547 Å, I = 28.7
2θ = 62.76°, d = 1.481 Å, I = 31.0
2θ = 63.04°, d = 1.475 Å, I = 17.1
2θ = 69.64°, d = 1.350 Å, I = 15.6
2θ = 70.46°, d = 1.336 Å, I = 22.4
2θ = 72.13°, d = 1.310 Å, I = 16.0

---

(2)
For ZnCu2N2, a cell relaxed with PBE gives the theoretical powder diffraction line list in this record (a wavelength of 1.5418 Å).

Atomic structure:
```
data_ZnCu2N2
_cell_length_a 3.536
_cell_length_b 3.536
_cell_length_c 5.353
_cell_angle_alpha 90.00
_cell_angle_beta 90.00
_cell_angle_gamma 90.00
_symmetry_space_group_name_H-M 'P 1'
_symmetry_Int_Tables_number 1
loop_
_symmetry_equiv_pos_as_xyz
'x,y,z'
loop_
_atom_site_label
_atom_site_fract_x
_atom_site_fract_y
_atom_site_fract_z
Zn1 0.000 0.000 0.000
Cu1 0.500 0.500 0.281
Cu2 0.500 0.500 0.719
N1 0.000 0.500 0.789
N2 0.500 0.000 0.211
```

The 12 most intense peaks (2θ = 10–90°), low angle first:
2θ = 16.56°, d = 5.353 Å, I = 19.1
2θ = 25.18°, d = 3.536 Å, I = 23.1
2θ = 30.29°, d = 2.951 Å, I = 65.9
2θ = 35.91°, d = 2.501 Å, I = 67.3
2θ = 42.35°, d = 2.134 Å, I = 100.0
2θ = 51.70°, d = 1.768 Å, I = 36.5
2θ = 61.10°, d = 1.517 Å, I = 15.8
2θ = 64.11°, d = 1.453 Å, I = 17.4
2θ = 68.97°, d = 1.362 Å, I = 42.2
2θ = 76.13°, d = 1.250 Å, I = 10.6
2θ = 81.60°, d = 1.180 Å, I = 8.9
2θ = 87.16°, d = 1.118 Å, I = 9.8

---

(3)
For Zr6CuN3, a cell relaxed with PBE gives the theoretical powder diffraction line list in this record (a wavelength of 1.5418 Å).

Atomic structure:
```
data_Zr6CuN3
_cell_length_a 9.966
_cell_length_b 3.288
_cell_length_c 10.335
_cell_angle_alpha 90.00
_cell_angle_beta 109.63
_cell_angle_gamma 90.00
_symmetry_space_group_name_H-M 'P 1'
_symmetry_Int_Tables_number 1
loop_
_symmetry_equiv_pos_as_xyz
'x,y,z'
loop_
_atom_site_label
_atom_site_fract_x
_atom_site_fract_y
_atom_site_fract_z
Zr1 0.038 0.250 0.372
Zr2 0.144 0.750 0.131
Zr3 0.263 0.250 0.665
Zr4 0.338 0.750 0.440
Zr5 0.356 0.750 0.946
Zr6 0.440 0.250 0.228
Zr7 0.560 0.750 0.772
Zr8 0.644 0.250 0.054
Zr9 0.662 0.250 0.560
Zr10 0.737 0.750 0.335
Zr11 0.856 0.250 0.869
Zr12 0.962 0.750 0.628
Cu1 0.121 0.250 0.871
Cu2 0.879 0.750 0.129
N1 0.144 0.750 0.522
N2 0.229 0.250 0.280
N3 0.456 0.250 0.858
N4 0.544 0.750 0.142
N5 0.771 0.750 0.720
N6 0.856 0.250 0.478
```

The 12 most intense peaks (2θ = 10–90°), low angle first:
2θ = 32.75°, d = 2.735 Å, I = 25.2
2θ = 32.88°, d = 2.724 Å, I = 24.4
2θ = 34.83°, d = 2.576 Å, I = 100.0
2θ = 36.01°, d = 2.494 Å, I = 90.3
2θ = 36.26°, d = 2.478 Å, I = 24.7
2θ = 36.50°, d = 2.462 Å, I = 22.1
2θ = 39.07°, d = 2.305 Å, I = 26.9
2θ = 39.11°, d = 2.303 Å, I = 16.1
2θ = 39.56°, d = 2.278 Å, I = 20.0
2θ = 42.74°, d = 2.116 Å, I = 15.9
2θ = 55.93°, d = 1.644 Å, I = 21.1
2θ = 56.44°, d = 1.630 Å, I = 25.9

---

(4)
For Zr3Cu3N, a cell relaxed with PBE gives the theoretical powder diffraction line list in this record (a wavelength of 1.5418 Å).

Atomic structure:
```
data_Zr3Cu3N
_cell_length_a 8.442
_cell_length_b 8.442
_cell_length_c 8.442
_cell_angle_alpha 60.00
_cell_angle_beta 60.00
_cell_angle_gamma 60.00
_symmetry_space_group_name_H-M 'P 1'
_symmetry_Int_Tables_number 1
loop_
_symmetry_equiv_pos_as_xyz
'x,y,z'
loop_
_atom_site_label
_atom_site_fract_x
_atom_site_fract_y
_atom_site_fract_z
Zr1 0.065 0.065 0.685
Zr2 0.065 0.685 0.065
Zr3 0.065 0.685 0.685
Zr4 0.315 0.315 0.935
Zr5 0.315 0.935 0.315
Zr6 0.315 0.935 0.935
Zr7 0.685 0.065 0.065
Zr8 0.685 0.065 0.685
Zr9 0.685 0.685 0.065
Zr10 0.935 0.315 0.315
Zr11 0.935 0.315 0.935
Zr12 0.935 0.935 0.315
Cu1 0.000 0.500 0.500
Cu2 0.295 0.295 0.295
Cu3 0.295 0.295 0.616
Cu4 0.295 0.616 0.295
Cu5 0.384 0.705 0.705
Cu6 0.500 0.000 0.500
Cu7 0.500 0.500 0.000
Cu8 0.500 0.500 0.500
Cu9 0.616 0.295 0.295
Cu10 0.705 0.384 0.705
Cu11 0.705 0.705 0.384
Cu12 0.705 0.705 0.705
N1 0.000 0.000 0.000
N2 0.000 0.000 0.500
N3 0.000 0.500 0.000
N4 0.500 0.000 0.000
```

The 12 most intense peaks (2θ = 10–90°), low angle first:
2θ = 32.70°, d = 2.739 Å, I = 14.4
2θ = 36.88°, d = 2.437 Å, I = 38.8
2θ = 39.21°, d = 2.298 Å, I = 100.0
2θ = 42.85°, d = 2.110 Å, I = 26.2
2θ = 45.59°, d = 1.990 Å, I = 8.8
2θ = 50.72°, d = 1.800 Å, I = 5.9
2θ = 54.92°, d = 1.672 Å, I = 5.9
2θ = 63.82°, d = 1.459 Å, I = 7.0
2θ = 66.45°, d = 1.407 Å, I = 37.2
2θ = 68.00°, d = 1.379 Å, I = 8.2
2θ = 79.96°, d = 1.200 Å, I = 17.8
2θ = 84.30°, d = 1.149 Å, I = 4.5

---

(5)
For Zr6CuN4, a cell relaxed with PBE gives the theoretical powder diffraction line list in this record (a wavelength of 1.5418 Å).

Atomic structure:
```
data_Zr6CuN4
_cell_length_a 5.774
_cell_length_b 5.774
_cell_length_c 17.189
_cell_angle_alpha 90.00
_cell_angle_beta 90.00
_cell_angle_gamma 146.55
_symmetry_space_group_name_H-M 'P 1'
_symmetry_Int_Tables_number 1
loop_
_symmetry_equiv_pos_as_xyz
'x,y,z'
loop_
_atom_site_label
_atom_site_fract_x
_atom_site_fract_y
_atom_site_fract_z
Zr1 0.000 0.000 0.000
Zr2 0.000 0.000 0.500
Zr3 0.156 0.844 0.750
Zr4 0.276 0.724 0.079
Zr5 0.276 0.724 0.421
Zr6 0.464 0.536 0.652
Zr7 0.464 0.536 0.848
Zr8 0.536 0.464 0.152
Zr9 0.536 0.464 0.348
Zr10 0.724 0.276 0.579
Zr11 0.724 0.276 0.921
Zr12 0.844 0.156 0.250
Cu1 0.156 0.844 0.250
Cu2 0.844 0.156 0.750
N1 0.095 0.905 0.622
N2 0.095 0.905 0.878
N3 0.363 0.637 0.540
N4 0.363 0.637 0.960
N5 0.637 0.363 0.040
N6 0.637 0.363 0.460
N7 0.905 0.095 0.122
N8 0.905 0.095 0.378
```

The 12 most intense peaks (2θ = 10–90°), low angle first:
2θ = 32.17°, d = 2.782 Å, I = 32.0
2θ = 34.06°, d = 2.632 Å, I = 25.9
2θ = 35.08°, d = 2.558 Å, I = 85.6
2θ = 35.28°, d = 2.544 Å, I = 100.0
2θ = 36.78°, d = 2.443 Å, I = 31.8
2θ = 37.92°, d = 2.373 Å, I = 99.8
2θ = 39.76°, d = 2.267 Å, I = 31.4
2θ = 54.19°, d = 1.693 Å, I = 18.2
2θ = 55.28°, d = 1.662 Å, I = 27.0
2θ = 56.69°, d = 1.624 Å, I = 28.5
2θ = 66.26°, d = 1.411 Å, I = 21.9
2θ = 67.30°, d = 1.391 Å, I = 28.6

---

(6)
For NaTi3NbCu3O12, a cell relaxed with PBE gives the theoretical powder diffraction line list in this record (a wavelength of 1.5418 Å).

Atomic structure:
```
data_NaTi3NbCu3O12
_cell_length_a 6.499
_cell_length_b 6.499
_cell_length_c 6.499
_cell_angle_alpha 109.54
_cell_angle_beta 109.54
_cell_angle_gamma 109.54
_symmetry_space_group_name_H-M 'P 1'
_symmetry_Int_Tables_number 1
loop_
_symmetry_equiv_pos_as_xyz
'x,y,z'
loop_
_atom_site_label
_atom_site_fract_x
_atom_site_fract_y
_atom_site_fract_z
Na1 0.000 0.000 0.000
Ti1 0.000 0.000 0.500
Ti2 0.000 0.500 0.000
Ti3 0.500 0.000 0.000
Nb1 0.500 0.500 0.500
Cu1 0.000 0.500 0.500
Cu2 0.500 0.000 0.500
Cu3 0.500 0.500 0.000
O1 0.127 0.307 0.820
O2 0.176 0.485 0.306
O3 0.180 0.873 0.693
O4 0.306 0.176 0.485
O5 0.307 0.820 0.127
O6 0.485 0.306 0.176
O7 0.515 0.694 0.824
O8 0.693 0.180 0.873
O9 0.694 0.824 0.515
O10 0.820 0.127 0.307
O11 0.824 0.515 0.694
O12 0.873 0.693 0.180
```

The 12 most intense peaks (2θ = 10–90°), low angle first:
2θ = 16.74°, d = 5.296 Å, I = 15.6
2θ = 29.16°, d = 3.062 Å, I = 10.9
2θ = 33.81°, d = 2.651 Å, I = 100.0
2θ = 37.94°, d = 2.372 Å, I = 8.7
2θ = 45.21°, d = 2.005 Å, I = 4.3
2θ = 48.57°, d = 1.875 Å, I = 28.1
2θ = 60.44°, d = 1.532 Å, I = 37.6
2θ = 60.62°, d = 1.527 Å, I = 12.4
2θ = 71.02°, d = 1.327 Å, I = 6.4
2θ = 71.23°, d = 1.324 Å, I = 6.3
2θ = 81.05°, d = 1.186 Å, I = 8.0
2θ = 81.19°, d = 1.185 Å, I = 7.9

---

(7)
For Na2NbCuS4, a cell relaxed with PBE gives the theoretical powder diffraction line list in this record (a wavelength of 1.5418 Å).

Atomic structure:
```
data_Na2NbCuS4
_cell_length_a 7.826
_cell_length_b 7.472
_cell_length_c 6.770
_cell_angle_alpha 90.00
_cell_angle_beta 90.00
_cell_angle_gamma 90.00
_symmetry_space_group_name_H-M 'P 1'
_symmetry_Int_Tables_number 1
loop_
_symmetry_equiv_pos_as_xyz
'x,y,z'
loop_
_atom_site_label
_atom_site_fract_x
_atom_site_fract_y
_atom_site_fract_z
Na1 0.248 0.187 0.000
Na2 0.252 0.813 0.500
Na3 0.748 0.813 0.500
Na4 0.752 0.187 0.000
Nb1 0.000 0.664 0.994
Nb2 0.500 0.336 0.494
Cu1 0.000 0.334 0.492
Cu2 0.500 0.666 0.992
S1 0.000 0.398 0.827
S2 0.000 0.606 0.326
S3 0.249 0.820 0.915
S4 0.251 0.180 0.415
S5 0.500 0.394 0.826
S6 0.500 0.602 0.327
S7 0.749 0.180 0.415
S8 0.751 0.820 0.915
```

The 12 most intense peaks (2θ = 10–90°), low angle first:
2θ = 11.84°, d = 7.472 Å, I = 59.2
2θ = 17.68°, d = 5.017 Å, I = 100.0
2θ = 23.82°, d = 3.736 Å, I = 27.7
2θ = 25.70°, d = 3.466 Å, I = 81.5
2θ = 26.33°, d = 3.385 Å, I = 65.6
2θ = 27.26°, d = 3.271 Å, I = 34.0
2θ = 28.94°, d = 3.085 Å, I = 60.5
2θ = 35.79°, d = 2.509 Å, I = 51.5
2θ = 43.05°, d = 2.101 Å, I = 49.4
2θ = 46.41°, d = 1.956 Å, I = 26.0
2θ = 48.11°, d = 1.891 Å, I = 45.0
2θ = 51.17°, d = 1.785 Å, I = 38.6

---

(8)
For Na2Nb2CuSe6, a cell relaxed with PBE gives the theoretical powder diffraction line list in this record (a wavelength of 1.5418 Å).

Atomic structure:
```
data_Na2Nb2CuSe6
_cell_length_a 6.495
_cell_length_b 6.495
_cell_length_c 7.275
_cell_angle_alpha 97.69
_cell_angle_beta 97.69
_cell_angle_gamma 118.55
_symmetry_space_group_name_H-M 'P 1'
_symmetry_Int_Tables_number 1
loop_
_symmetry_equiv_pos_as_xyz
'x,y,z'
loop_
_atom_site_label
_atom_site_fract_x
_atom_site_fract_y
_atom_site_fract_z
Na1 0.182 0.818 0.000
Na2 0.818 0.182 0.000
Nb1 0.357 0.643 0.500
Nb2 0.643 0.357 0.500
Cu1 0.000 0.000 0.500
Se1 0.048 0.384 0.692
Se2 0.296 0.296 0.248
Se3 0.384 0.048 0.692
Se4 0.616 0.952 0.308
Se5 0.704 0.704 0.752
Se6 0.952 0.616 0.308
```

The 12 most intense peaks (2θ = 10–90°), low angle first:
2θ = 12.61°, d = 7.021 Å, I = 97.3
2θ = 27.42°, d = 3.253 Å, I = 15.2
2θ = 28.96°, d = 3.083 Å, I = 8.1
2θ = 32.08°, d = 2.790 Å, I = 100.0
2θ = 32.54°, d = 2.752 Å, I = 52.5
2θ = 40.44°, d = 2.230 Å, I = 25.2
2θ = 42.93°, d = 2.107 Å, I = 16.9
2θ = 44.78°, d = 2.024 Å, I = 31.3
2θ = 47.87°, d = 1.900 Å, I = 30.4
2θ = 48.94°, d = 1.861 Å, I = 14.7
2θ = 49.20°, d = 1.852 Å, I = 14.8
2θ = 60.00°, d = 1.542 Å, I = 14.7

---

(9)
For Na2NbCuSe4, a cell relaxed with PBE gives the theoretical powder diffraction line list in this record (a wavelength of 1.5418 Å).

Atomic structure:
```
data_Na2NbCuSe4
_cell_length_a 7.766
_cell_length_b 7.766
_cell_length_c 6.220
_cell_angle_alpha 90.00
_cell_angle_beta 90.00
_cell_angle_gamma 90.00
_symmetry_space_group_name_H-M 'P 1'
_symmetry_Int_Tables_number 1
loop_
_symmetry_equiv_pos_as_xyz
'x,y,z'
loop_
_atom_site_label
_atom_site_fract_x
_atom_site_fract_y
_atom_site_fract_z
Na1 0.000 0.500 0.000
Na2 0.000 0.500 0.500
Na3 0.500 0.000 0.000
Na4 0.500 0.000 0.500
Nb1 0.000 0.000 0.000
Nb2 0.500 0.500 0.500
Cu1 0.000 0.000 0.500
Cu2 0.500 0.500 0.000
Se1 0.175 0.175 0.245
Se2 0.175 0.825 0.755
Se3 0.325 0.325 0.745
Se4 0.325 0.675 0.255
Se5 0.675 0.325 0.255
Se6 0.675 0.675 0.745
Se7 0.825 0.175 0.755
Se8 0.825 0.825 0.245
```

The 12 most intense peaks (2θ = 10–90°), low angle first:
2θ = 16.14°, d = 5.492 Å, I = 67.0
2θ = 29.45°, d = 3.032 Å, I = 100.0
2θ = 32.61°, d = 2.746 Å, I = 37.3
2θ = 37.03°, d = 2.428 Å, I = 80.3
2θ = 47.15°, d = 1.927 Å, I = 33.4
2θ = 49.81°, d = 1.831 Å, I = 19.3
2θ = 50.64°, d = 1.803 Å, I = 29.3
2θ = 51.32°, d = 1.780 Å, I = 20.7
2θ = 52.71°, d = 1.737 Å, I = 13.0
2θ = 55.82°, d = 1.647 Å, I = 14.4
2θ = 78.05°, d = 1.224 Å, I = 12.6
2θ = 84.90°, d = 1.142 Å, I = 12.9

---

(10)
For NaNd2Cu2O6, a cell relaxed with PBE gives the theoretical powder diffraction line list in this record (a wavelength of 1.5418 Å).

Atomic structure:
```
data_NaNd2Cu2O6
_cell_length_a 6.786
_cell_length_b 6.786
_cell_length_c 6.786
_cell_angle_alpha 49.75
_cell_angle_beta 49.75
_cell_angle_gamma 49.75
_symmetry_space_group_name_H-M 'P 1'
_symmetry_Int_Tables_number 1
loop_
_symmetry_equiv_pos_as_xyz
'x,y,z'
loop_
_atom_site_label
_atom_site_fract_x
_atom_site_fract_y
_atom_site_fract_z
Na1 0.000 0.000 0.000
Nd1 0.201 0.201 0.201
Nd2 0.799 0.799 0.799
Cu1 0.426 0.426 0.426
Cu2 0.574 0.574 0.574
O1 0.201 0.748 0.748
O2 0.252 0.252 0.799
O3 0.252 0.799 0.252
O4 0.748 0.201 0.748
O5 0.748 0.748 0.201
O6 0.799 0.252 0.252
```

The 12 most intense peaks (2θ = 10–90°), low angle first:
2θ = 14.94°, d = 5.932 Å, I = 78.7
2θ = 20.55°, d = 4.322 Å, I = 14.4
2θ = 30.96°, d = 2.888 Å, I = 84.0
2θ = 31.34°, d = 2.855 Å, I = 100.0
2θ = 34.88°, d = 2.572 Å, I = 40.8
2θ = 37.77°, d = 2.382 Å, I = 16.5
2θ = 44.64°, d = 2.030 Å, I = 66.2
2θ = 55.55°, d = 1.654 Å, I = 44.9
2θ = 55.78°, d = 1.648 Å, I = 19.0
2θ = 65.20°, d = 1.431 Å, I = 16.0
2θ = 65.39°, d = 1.427 Å, I = 17.6
2θ = 74.09°, d = 1.280 Å, I = 13.9

---

(11)
For Na2NdCuO4, a cell relaxed with PBE gives the theoretical powder diffraction line list in this record (a wavelength of 1.5418 Å).

Atomic structure:
```
data_Na2NdCuO4
_cell_length_a 5.699
_cell_length_b 5.699
_cell_length_c 6.310
_cell_angle_alpha 90.00
_cell_angle_beta 90.00
_cell_angle_gamma 90.00
_symmetry_space_group_name_H-M 'P 1'
_symmetry_Int_Tables_number 1
loop_
_symmetry_equiv_pos_as_xyz
'x,y,z'
loop_
_atom_site_label
_atom_site_fract_x
_atom_site_fract_y
_atom_site_fract_z
Na1 0.000 0.000 0.000
Na2 0.000 0.500 0.250
Na3 0.500 0.000 0.750
Na4 0.500 0.500 0.500
Nd1 0.000 0.000 0.500
Nd2 0.500 0.500 0.000
Cu1 0.000 0.500 0.750
Cu2 0.500 0.000 0.250
O1 0.229 0.271 0.750
O2 0.229 0.729 0.750
O3 0.271 0.229 0.250
O4 0.271 0.771 0.250
O5 0.729 0.229 0.250
O6 0.729 0.771 0.250
O7 0.771 0.271 0.750
O8 0.771 0.729 0.750
```

The 12 most intense peaks (2θ = 10–90°), low angle first:
2θ = 21.01°, d = 4.229 Å, I = 98.7
2θ = 22.06°, d = 4.030 Å, I = 13.7
2θ = 31.39°, d = 2.850 Å, I = 40.7
2θ = 36.16°, d = 2.484 Å, I = 100.0
2θ = 38.08°, d = 2.363 Å, I = 39.1
2θ = 42.76°, d = 2.115 Å, I = 16.5
2θ = 44.99°, d = 2.015 Å, I = 39.1
2θ = 46.00°, d = 1.973 Å, I = 12.6
2θ = 56.75°, d = 1.622 Å, I = 12.5
2θ = 59.03°, d = 1.565 Å, I = 44.6
2θ = 60.37°, d = 1.533 Å, I = 12.1
2θ = 76.73°, d = 1.242 Å, I = 13.8

---

Repeat the fourth record exactly.
For Zr3Cu3N, a cell relaxed with PBE gives the theoretical powder diffraction line list in this record (a wavelength of 1.5418 Å).

Atomic structure:
```
data_Zr3Cu3N
_cell_length_a 8.442
_cell_length_b 8.442
_cell_length_c 8.442
_cell_angle_alpha 60.00
_cell_angle_beta 60.00
_cell_angle_gamma 60.00
_symmetry_space_group_name_H-M 'P 1'
_symmetry_Int_Tables_number 1
loop_
_symmetry_equiv_pos_as_xyz
'x,y,z'
loop_
_atom_site_label
_atom_site_fract_x
_atom_site_fract_y
_atom_site_fract_z
Zr1 0.065 0.065 0.685
Zr2 0.065 0.685 0.065
Zr3 0.065 0.685 0.685
Zr4 0.315 0.315 0.935
Zr5 0.315 0.935 0.315
Zr6 0.315 0.935 0.935
Zr7 0.685 0.065 0.065
Zr8 0.685 0.065 0.685
Zr9 0.685 0.685 0.065
Zr10 0.935 0.315 0.315
Zr11 0.935 0.315 0.935
Zr12 0.935 0.935 0.315
Cu1 0.000 0.500 0.500
Cu2 0.295 0.295 0.295
Cu3 0.295 0.295 0.616
Cu4 0.295 0.616 0.295
Cu5 0.384 0.705 0.705
Cu6 0.500 0.000 0.500
Cu7 0.500 0.500 0.000
Cu8 0.500 0.500 0.500
Cu9 0.616 0.295 0.295
Cu10 0.705 0.384 0.705
Cu11 0.705 0.705 0.384
Cu12 0.705 0.705 0.705
N1 0.000 0.000 0.000
N2 0.000 0.000 0.500
N3 0.000 0.500 0.000
N4 0.500 0.000 0.000
```

The 12 most intense peaks (2θ = 10–90°), low angle first:
2θ = 32.70°, d = 2.739 Å, I = 14.4
2θ = 36.88°, d = 2.437 Å, I = 38.8
2θ = 39.21°, d = 2.298 Å, I = 100.0
2θ = 42.85°, d = 2.110 Å, I = 26.2
2θ = 45.59°, d = 1.990 Å, I = 8.8
2θ = 50.72°, d = 1.800 Å, I = 5.9
2θ = 54.92°, d = 1.672 Å, I = 5.9
2θ = 63.82°, d = 1.459 Å, I = 7.0
2θ = 66.45°, d = 1.407 Å, I = 37.2
2θ = 68.00°, d = 1.379 Å, I = 8.2
2θ = 79.96°, d = 1.200 Å, I = 17.8
2θ = 84.30°, d = 1.149 Å, I = 4.5